(1)
Structure and calculated X-ray diffraction stick pattern of Tl6ZnHg10 (a structure optimized by DFT (PBE); Cu Kα (λ = 1.5418 Å)).
Peak positions follow from Bragg's law for the DFT cell and can differ from measured ones.

The 8 most intense peaks (2θ = 10–80°), in order of rising 2θ:
27.0 deg, rel. 13.5; 29.6 deg, rel. 25.7; 32.6 deg, rel. 100.0; 33.4 deg, rel. 77.7; 33.6 deg, rel. 38.2; 48.1 deg, rel. 16.6; 51.4 deg, rel. 20.4; 64.8 deg, rel. 17.9

Atomic structure:
Unit cell a=9.233 b=9.233 c=6.596 alpha=90.00 beta=90.00 gamma=120.00
Sites, in units of the cell vectors:
Tl 0.000 0.398 0.240
Tl 0.000 0.602 0.760
Tl 0.398 0.000 0.240
Tl 0.398 0.398 0.760
Tl 0.602 0.000 0.760
Tl 0.602 0.602 0.240
Zn 0.000 0.000 0.000
Hg 0.000 0.237 0.710
Hg 0.000 0.763 0.290
Hg 0.237 0.000 0.710
Hg 0.237 0.237 0.290
Hg 0.333 0.667 0.000
Hg 0.333 0.667 0.500
Hg 0.667 0.333 0.000
Hg 0.667 0.333 0.500
Hg 0.763 0.000 0.290
Hg 0.763 0.763 0.710


(2)
Structure and calculated X-ray diffraction stick pattern of Hf9CdIn2 (a structure optimized by DFT (PBE); Cu Kα (λ = 1.5418 Å)).
Peak positions follow from Bragg's law for the DFT cell and can differ from measured ones.

The 8 most intense peaks (2θ = 10–80°), in order of rising 2θ:
20.1 deg, rel. 2.5; 28.5 deg, rel. 2.1; 35.1 deg, rel. 100.0; 40.8 deg, rel. 49.8; 45.9 deg, rel. 1.3; 59.1 deg, rel. 33.6; 70.6 deg, rel. 39.4; 74.3 deg, rel. 11.4

Atomic structure:
Unit cell a=4.425 b=4.425 c=13.260 alpha=90.00 beta=90.00 gamma=90.00
Sites, in units of the cell vectors:
Hf 0.000 0.000 0.000
Hf 0.000 0.000 0.333
Hf 0.000 0.000 0.667
Hf 0.000 0.500 0.166
Hf 0.000 0.500 0.500
Hf 0.000 0.500 0.834
Hf 0.500 0.000 0.166
Hf 0.500 0.000 0.500
Hf 0.500 0.000 0.834
Cd 0.500 0.500 0.000
In 0.500 0.500 0.333
In 0.500 0.500 0.667


(3)
Structure and calculated X-ray diffraction stick pattern of CaTeO4 (a structure optimized by DFT (PBE); Cu Kα (λ = 1.5418 Å)).
Peak positions follow from Bragg's law for the DFT cell and can differ from measured ones.

The 8 most intense peaks (2θ = 10–80°), in order of rising 2θ:
13.8 deg, rel. 33.6; 18.1 deg, rel. 100.0; 22.4 deg, rel. 29.5; 25.3 deg, rel. 75.6; 32.2 deg, rel. 59.1; 33.1 deg, rel. 31.9; 48.0 deg, rel. 48.8; 49.8 deg, rel. 21.7

Atomic structure:
Unit cell a=5.301 b=12.822 c=5.071 alpha=90.00 beta=90.00 gamma=90.00
Sites, in units of the cell vectors:
Ca 0.000 0.170 0.250
Ca 0.000 0.830 0.750
Ca 0.500 0.330 0.750
Ca 0.500 0.670 0.250
Te 0.000 0.428 0.250
Te 0.000 0.572 0.750
Te 0.500 0.072 0.750
Te 0.500 0.928 0.250
O 0.203 0.456 0.572
O 0.203 0.544 0.072
O 0.220 0.326 0.116
O 0.220 0.674 0.616
O 0.280 0.174 0.616
O 0.280 0.826 0.116
O 0.297 0.044 0.072
O 0.297 0.956 0.572
O 0.703 0.044 0.428
O 0.703 0.956 0.928
O 0.720 0.174 0.884
O 0.720 0.826 0.384
O 0.780 0.326 0.384
O 0.780 0.674 0.884
O 0.797 0.456 0.928
O 0.797 0.544 0.428


(4)
Structure and calculated X-ray diffraction stick pattern of Si23Br3 (a structure optimized by DFT (PBE); Cu Kα (λ = 1.5418 Å)).
Peak positions follow from Bragg's law for the DFT cell and can differ from measured ones.

The 8 most intense peaks (2θ = 10–80°), in order of rising 2θ:
27.6 deg, rel. 19.8; 30.3 deg, rel. 80.8; 31.6 deg, rel. 78.2; 32.8 deg, rel. 100.0; 35.1 deg, rel. 21.9; 52.2 deg, rel. 65.9; 53.8 deg, rel. 20.2; 55.4 deg, rel. 42.5

Atomic structure:
Unit cell a=10.217 b=10.217 c=10.217 alpha=90.00 beta=90.00 gamma=90.00
Sites, in units of the cell vectors:
Si 0.000 0.116 0.310
Si 0.000 0.116 0.690
Si 0.000 0.250 0.500
Si 0.000 0.750 0.500
Si 0.000 0.884 0.310
Si 0.000 0.884 0.690
Si 0.116 0.310 0.000
Si 0.116 0.690 0.000
Si 0.183 0.183 0.183
Si 0.183 0.183 0.817
Si 0.183 0.817 0.183
Si 0.183 0.817 0.817
Si 0.190 0.384 0.500
Si 0.190 0.616 0.500
Si 0.250 0.500 0.000
Si 0.310 0.000 0.116
Si 0.310 0.000 0.884
Si 0.317 0.317 0.317
Si 0.317 0.317 0.683
Si 0.317 0.683 0.317
Si 0.317 0.683 0.683
Si 0.384 0.500 0.190
Si 0.384 0.500 0.810
Si 0.500 0.000 0.250
Si 0.500 0.000 0.750
Si 0.500 0.190 0.384
Si 0.500 0.190 0.616
Si 0.500 0.810 0.384
Si 0.500 0.810 0.616
Si 0.616 0.500 0.190
Si 0.616 0.500 0.810
Si 0.683 0.317 0.317
Si 0.683 0.317 0.683
Si 0.683 0.683 0.317
Si 0.683 0.683 0.683
Si 0.690 0.000 0.116
Si 0.690 0.000 0.884
Si 0.750 0.500 0.000
Si 0.810 0.384 0.500
Si 0.810 0.616 0.500
Si 0.817 0.183 0.183
Si 0.817 0.183 0.817
Si 0.817 0.817 0.183
Si 0.817 0.817 0.817
Si 0.884 0.310 0.000
Si 0.884 0.690 0.000
Br 0.000 0.500 0.250
Br 0.000 0.500 0.750
Br 0.250 0.000 0.500
Br 0.500 0.250 0.000
Br 0.500 0.750 0.000
Br 0.750 0.000 0.500


(5)
Structure and calculated X-ray diffraction stick pattern of Cu2Pd5Au2 (a structure optimized by DFT (PBE); Cu Kα (λ = 1.5418 Å)).
Peak positions follow from Bragg's law for the DFT cell and can differ from measured ones.

The 8 most intense peaks (2θ = 10–80°), in order of rising 2θ:
21.2 deg, rel. 4.1; 25.0 deg, rel. 7.0; 39.6 deg, rel. 100.0; 45.6 deg, rel. 18.0; 46.2 deg, rel. 31.7; 66.9 deg, rel. 20.6; 67.4 deg, rel. 5.0; 67.5 deg, rel. 4.8

Atomic structure:
Unit cell a=4.824 b=4.853 c=6.210 alpha=75.12 beta=82.51 gamma=81.05
Sites, in units of the cell vectors:
Cu 0.058 0.280 0.388
Cu 0.942 0.720 0.612
Pd 0.275 0.390 0.946
Pd 0.383 0.940 0.715
Pd 0.500 0.500 0.500
Pd 0.617 0.060 0.285
Pd 0.725 0.610 0.054
Au 0.165 0.831 0.180
Au 0.835 0.169 0.820


(6)
Structure and calculated X-ray diffraction stick pattern of PmSc2F11 (a structure optimized by DFT (PBE); Cu Kα (λ = 1.5418 Å)).
Peak positions follow from Bragg's law for the DFT cell and can differ from measured ones.

The 8 most intense peaks (2θ = 10–80°), in order of rising 2θ:
14.2 deg, rel. 59.1; 21.5 deg, rel. 100.0; 24.1 deg, rel. 45.3; 43.9 deg, rel. 19.5; 44.2 deg, rel. 23.2; 46.8 deg, rel. 21.2; 49.3 deg, rel. 19.4; 49.9 deg, rel. 15.2

Atomic structure:
Unit cell a=8.430 b=8.430 c=8.430 alpha=123.67 beta=107.39 gamma=98.43
Sites, in units of the cell vectors:
Pm 0.250 0.250 0.000
Pm 0.750 0.750 0.000
Sc 0.188 0.654 0.842
Sc 0.312 0.154 0.466
Sc 0.688 0.846 0.534
Sc 0.812 0.346 0.158
F 0.000 0.500 0.500
F 0.042 0.974 0.287
F 0.047 0.349 0.140
F 0.186 0.474 0.931
F 0.200 0.391 0.591
F 0.209 0.907 0.860
F 0.291 0.151 0.698
F 0.300 0.891 0.191
F 0.314 0.245 0.287
F 0.453 0.593 0.302
F 0.458 0.745 0.931
F 0.500 0.000 0.500
F 0.542 0.255 0.069
F 0.547 0.407 0.698
F 0.686 0.755 0.713
F 0.700 0.109 0.809
F 0.709 0.849 0.302
F 0.791 0.093 0.140
F 0.800 0.609 0.409
F 0.814 0.526 0.069
F 0.953 0.651 0.860
F 0.958 0.026 0.713


(7)
Structure and calculated X-ray diffraction stick pattern of SmDy7Tm3 (a structure optimized by DFT (PBE); Cu Kα (λ = 1.5418 Å)).
Peak positions follow from Bragg's law for the DFT cell and can differ from measured ones.

The 8 most intense peaks (2θ = 10–80°), in order of rising 2θ:
31.7 deg, rel. 29.1; 31.9 deg, rel. 79.2; 32.1 deg, rel. 60.0; 32.2 deg, rel. 72.8; 32.5 deg, rel. 100.0; 33.3 deg, rel. 79.3; 57.6 deg, rel. 22.1; 63.5 deg, rel. 31.6

Atomic structure:
Unit cell a=6.922 b=5.512 c=9.822 alpha=90.00 beta=109.77 gamma=90.00
Sites, in units of the cell vectors:
Sm 0.000 0.000 0.000
Dy 0.000 0.000 0.500
Dy 0.147 0.500 0.791
Dy 0.325 0.500 0.143
Dy 0.423 0.000 0.332
Dy 0.577 0.000 0.668
Dy 0.675 0.500 0.857
Dy 0.853 0.500 0.209
Tm 0.277 0.500 0.497
Tm 0.500 0.000 0.000
Tm 0.723 0.500 0.503


(8)
Structure and calculated X-ray diffraction stick pattern of Ca2YPb9 (a structure optimized by DFT (PBE); Cu Kα (λ = 1.5418 Å)).
Peak positions follow from Bragg's law for the DFT cell and can differ from measured ones.

The 8 most intense peaks (2θ = 10–80°), in order of rising 2θ:
18.0 deg, rel. 12.7; 31.5 deg, rel. 100.0; 36.5 deg, rel. 17.0; 36.6 deg, rel. 33.8; 52.6 deg, rel. 36.2; 62.5 deg, rel. 14.5; 62.7 deg, rel. 28.8; 65.8 deg, rel. 12.5

Atomic structure:
Unit cell a=4.915 b=4.915 c=14.784 alpha=90.00 beta=90.00 gamma=90.00
Sites, in units of the cell vectors:
Ca 0.000 0.000 0.169
Ca 0.000 0.000 0.831
Y 0.000 0.000 0.500
Pb 0.000 0.500 0.000
Pb 0.000 0.500 0.335
Pb 0.000 0.500 0.665
Pb 0.500 0.000 0.000
Pb 0.500 0.000 0.335
Pb 0.500 0.000 0.665
Pb 0.500 0.500 0.167
Pb 0.500 0.500 0.500
Pb 0.500 0.500 0.833


(9)
Structure and calculated X-ray diffraction stick pattern of PmSm2B9 (a structure optimized by DFT (PBE); Cu Kα (λ = 1.5418 Å)).
Peak positions follow from Bragg's law for the DFT cell and can differ from measured ones.

The 8 most intense peaks (2θ = 10–80°), in order of rising 2θ:
23.2 deg, rel. 100.0; 23.8 deg, rel. 21.6; 27.8 deg, rel. 30.3; 31.7 deg, rel. 38.6; 34.0 deg, rel. 72.2; 38.9 deg, rel. 20.6; 40.3 deg, rel. 46.1; 49.7 deg, rel. 40.8

Atomic structure:
Unit cell a=9.952 b=9.952 c=9.952 alpha=25.97 beta=25.97 gamma=25.97
Sites, in units of the cell vectors:
Pm 0.000 0.000 0.000
Sm 0.118 0.118 0.118
Sm 0.882 0.882 0.882
B 0.028 0.392 0.392
B 0.392 0.028 0.392
B 0.392 0.392 0.028
B 0.401 0.401 0.401
B 0.500 0.500 0.500
B 0.599 0.599 0.599
B 0.608 0.608 0.972
B 0.608 0.972 0.608
B 0.972 0.608 0.608


(10)
Structure and calculated X-ray diffraction stick pattern of Hf3Sc13 (a structure optimized by DFT (PBE); Cu Kα (λ = 1.5418 Å)).
Peak positions follow from Bragg's law for the DFT cell and can differ from measured ones.

The 8 most intense peaks (2θ = 10–80°), in order of rising 2θ:
11.6 deg, rel. 46.1; 31.5 deg, rel. 32.0; 34.9 deg, rel. 23.5; 36.1 deg, rel. 100.0; 47.7 deg, rel. 19.8; 56.1 deg, rel. 18.4; 63.4 deg, rel. 19.6; 67.8 deg, rel. 19.5

Atomic structure:
Unit cell a=6.556 b=7.662 c=7.662 alpha=84.27 beta=90.00 gamma=90.00
Sites, in units of the cell vectors:
Hf 0.000 0.000 0.000
Hf 0.245 0.755 0.755
Hf 0.755 0.755 0.755
Sc 0.000 0.420 0.917
Sc 0.000 0.508 0.508
Sc 0.000 0.917 0.420
Sc 0.247 0.252 0.252
Sc 0.248 0.164 0.674
Sc 0.248 0.674 0.164
Sc 0.500 0.428 0.915
Sc 0.500 0.505 0.505
Sc 0.500 0.915 0.428
Sc 0.500 0.999 0.999
Sc 0.752 0.164 0.674
Sc 0.752 0.674 0.164
Sc 0.753 0.252 0.252


(11)
Structure and calculated X-ray diffraction stick pattern of Sm2HoEr6 (a structure optimized by DFT (PBE); Cu Kα (λ = 1.5418 Å)).
Peak positions follow from Bragg's law for the DFT cell and can differ from measured ones.

The 8 most intense peaks (2θ = 10–80°), in order of rising 2θ:
28.9 deg, rel. 35.8; 29.3 deg, rel. 23.9; 31.2 deg, rel. 53.5; 31.6 deg, rel. 100.0; 32.5 deg, rel. 40.8; 33.4 deg, rel. 29.1; 34.0 deg, rel. 32.2; 34.8 deg, rel. 26.2

Atomic structure:
Unit cell a=9.514 b=9.514 c=6.516 alpha=99.26 beta=99.26 gamma=95.99
Sites, in units of the cell vectors:
Sm 0.118 0.168 0.372
Sm 0.168 0.118 0.872
Sm 0.832 0.882 0.128
Sm 0.882 0.832 0.628
Ho 0.382 0.618 0.750
Ho 0.618 0.382 0.250
Er 0.039 0.441 0.730
Er 0.151 0.777 0.996
Er 0.223 0.849 0.504
Er 0.278 0.457 0.185
Er 0.441 0.039 0.230
Er 0.457 0.278 0.685
Er 0.543 0.722 0.315
Er 0.559 0.961 0.770
Er 0.722 0.543 0.815
Er 0.777 0.151 0.496
Er 0.849 0.223 0.004
Er 0.961 0.559 0.270